Entry 1:
Theoretical X-ray powder pattern
Compound: MgFe2P2H18O18
Radiation: a wavelength of 1.5418 Å
Structure: the GGA+U geometry in the Materials Project

Cell and atoms:
abc: 5.396 7.277 10.336
angles: 97.66 101.34 111.05
Sites, in units of the cell vectors:
Mg: 0.000 0.000 0.000
Fe: 0.500 0.000 0.500
Fe: 0.500 0.500 0.500
P: 0.019 0.927 0.673
P: 0.981 0.073 0.327
H: 0.077 0.649 0.817
H: 0.096 0.574 0.266
H: 0.156 0.676 0.518
H: 0.165 0.386 0.945
H: 0.308 0.487 0.732
H: 0.314 0.961 0.204
H: 0.322 0.402 0.095
H: 0.390 0.304 0.684
H: 0.462 0.987 0.879
H: 0.538 0.013 0.121
H: 0.610 0.696 0.316
H: 0.678 0.598 0.905
H: 0.686 0.039 0.796
H: 0.692 0.513 0.268
H: 0.835 0.614 0.055
H: 0.844 0.324 0.482
H: 0.904 0.426 0.734
H: 0.923 0.351 0.183
O: 0.073 0.509 0.805
O: 0.095 0.905 0.821
O: 0.116 0.286 0.424
O: 0.179 0.962 0.341
O: 0.234 0.310 0.005
O: 0.288 0.052 0.636
O: 0.332 0.702 0.492
O: 0.338 0.970 0.112
O: 0.455 0.455 0.698
O: 0.545 0.545 0.302
O: 0.662 0.030 0.888
O: 0.668 0.298 0.508
O: 0.712 0.948 0.364
O: 0.766 0.690 0.995
O: 0.821 0.038 0.659
O: 0.884 0.714 0.576
O: 0.905 0.095 0.179
O: 0.927 0.491 0.195

The 10 most intense peaks (2θ from 5° to 70°), by angle:
8.95°, d 9.880, rel. 100
13.37°, d 6.621, rel. 22
17.91°, d 4.954, rel. 19
18.10°, d 4.902, rel. 11
22.01°, d 4.038, rel. 12
22.43°, d 3.964, rel. 12
26.93°, d 3.310, rel. 27
28.44°, d 3.138, rel. 14
30.99°, d 2.886, rel. 14
34.18°, d 2.623, rel. 9

=====

Entry 2:
Theoretical X-ray powder pattern
Compound: VHO3
Radiation: a wavelength of 1.5418 Å
Structure: the GGA+U geometry in the Materials Project

Cell and atoms:
abc: 5.046 8.772 7.998
angles: 90.00 105.06 90.00
Sites, in units of the cell vectors:
V: 0.024 0.000 0.317
V: 0.027 0.611 0.318
V: 0.443 0.305 0.575
V: 0.557 0.805 0.425
V: 0.973 0.111 0.682
V: 0.976 0.500 0.683
H: 0.337 0.302 0.935
H: 0.404 0.716 0.908
H: 0.412 0.898 0.917
H: 0.588 0.398 0.083
H: 0.596 0.216 0.092
H: 0.663 0.802 0.065
O: 0.143 0.305 0.758
O: 0.144 0.003 0.839
O: 0.149 0.608 0.841
O: 0.174 0.148 0.500
O: 0.178 0.465 0.503
O: 0.338 0.953 0.270
O: 0.342 0.658 0.270
O: 0.381 0.805 0.569
O: 0.463 0.306 0.061
O: 0.537 0.806 0.939
O: 0.619 0.305 0.431
O: 0.658 0.158 0.730
O: 0.662 0.453 0.730
O: 0.822 0.965 0.497
O: 0.826 0.648 0.500
O: 0.851 0.108 0.159
O: 0.856 0.503 0.161
O: 0.857 0.805 0.242

The 10 most intense peaks (2θ from 5° to 70°), by angle:
11.46°, d 7.723, rel. 100
15.28°, d 5.797, rel. 48
25.20°, d 3.534, rel. 20
25.44°, d 3.502, rel. 22
27.36°, d 3.259, rel. 68
30.85°, d 2.898, rel. 16
31.59°, d 2.832, rel. 14
39.20°, d 2.298, rel. 9
44.04°, d 2.056, rel. 10
45.70°, d 1.985, rel. 20

=====

Entry 3:
Theoretical X-ray powder pattern
Compound: NiH2O2
Radiation: a wavelength of 1.5418 Å
Structure: the GGA+U geometry in the Materials Project

Cell and atoms:
abc: 3.163 3.163 4.732
angles: 95.64 95.64 60.05
Sites, in units of the cell vectors:
Ni: 0.000 0.000 0.000
H: 0.268 0.342 0.579
H: 0.658 0.732 0.421
O: 0.310 0.311 0.783
O: 0.689 0.690 0.217

The 10 most intense peaks (2θ from 5° to 70°), by angle:
18.87°, d 4.702, rel. 100
32.74°, d 2.736, rel. 28
36.22°, d 2.480, rel. 28
39.03°, d 2.308, rel. 56
48.20°, d 1.888, rel. 14
49.67°, d 1.835, rel. 13
52.77°, d 1.735, rel. 18
58.67°, d 1.574, rel. 15
60.14°, d 1.539, rel. 11
67.12°, d 1.395, rel. 9

=====

Entry 4:
Theoretical X-ray powder pattern
Compound: MgCr2Hg2O8
Radiation: a wavelength of 1.5418 Å
Structure: the GGA+U geometry in the Materials Project

Cell and atoms:
abc: 8.527 5.674 5.674
angles: 62.56 90.00 90.00
Sites, in units of the cell vectors:
Mg: 0.000 0.000 0.000
Cr: 0.000 0.720 0.720
Cr: 0.500 0.549 0.549
Hg: 0.295 0.216 0.216
Hg: 0.705 0.216 0.216
O: 0.000 0.386 0.863
O: 0.000 0.863 0.386
O: 0.150 0.830 0.830
O: 0.337 0.457 0.457
O: 0.500 0.412 0.888
O: 0.500 0.888 0.412
O: 0.663 0.457 0.457
O: 0.850 0.830 0.830

The 10 most intense peaks (2θ from 5° to 70°), by angle:
17.61°, d 5.036, rel. 70
18.30°, d 4.849, rel. 67
20.48°, d 4.336, rel. 41
27.41°, d 3.254, rel. 100
27.86°, d 3.202, rel. 27
30.34°, d 2.946, rel. 33
31.54°, d 2.836, rel. 44
36.29°, d 2.475, rel. 26
38.13°, d 2.360, rel. 32
41.66°, d 2.168, rel. 25

=====

Entry 5:
Theoretical X-ray powder pattern
Compound: Li4CrTeW2O12
Radiation: a wavelength of 1.5418 Å
Structure: the GGA+U geometry in the Materials Project

Cell and atoms:
abc: 5.185 5.495 15.155
angles: 85.49 89.82 89.98
Sites, in units of the cell vectors:
Li: 0.000 0.000 0.000
Li: 0.002 0.929 0.482
Li: 0.008 0.866 0.693
Li: 0.012 0.897 0.202
Li: 0.497 0.333 0.464
Li: 0.502 0.362 0.967
Li: 0.509 0.350 0.695
Li: 0.513 0.331 0.197
Cr: 0.500 0.921 0.099
Cr: 0.506 0.930 0.599
Te: 0.001 0.413 0.346
Te: 0.009 0.430 0.847
W: 0.008 0.435 0.099
W: 0.511 0.924 0.849
W: 0.514 0.917 0.349
W: 0.994 0.434 0.596
O: 0.138 0.444 0.730
O: 0.143 0.421 0.215
O: 0.183 0.735 0.069
O: 0.186 0.739 0.579
O: 0.194 0.113 0.387
O: 0.206 0.132 0.885
O: 0.297 0.234 0.066
O: 0.303 0.249 0.578
O: 0.316 0.622 0.883
O: 0.366 0.626 0.390
O: 0.381 0.941 0.228
O: 0.390 0.943 0.732
O: 0.618 0.934 0.968
O: 0.627 0.969 0.471
O: 0.671 0.264 0.317
O: 0.699 0.242 0.817
O: 0.703 0.611 0.126
O: 0.710 0.628 0.635
O: 0.809 0.131 0.120
O: 0.809 0.140 0.635
O: 0.820 0.740 0.817
O: 0.826 0.797 0.311
O: 0.867 0.438 0.481
O: 0.879 0.422 0.967

The 10 most intense peaks (2θ from 5° to 70°), by angle:
20.78°, d 4.276, rel. 16
23.60°, d 3.769, rel. 100
32.67°, d 2.741, rel. 40
34.53°, d 2.597, rel. 18
34.60°, d 2.592, rel. 9
42.24°, d 2.140, rel. 10
48.34°, d 1.883, rel. 12
53.15°, d 1.723, rel. 18
55.77°, d 1.648, rel. 9
60.74°, d 1.525, rel. 9

=====

Please write out number 3 again, unchanged.
Theoretical X-ray powder pattern
Compound: NiH2O2
Radiation: a wavelength of 1.5418 Å
Structure: the GGA+U geometry in the Materials Project

Cell and atoms:
abc: 3.163 3.163 4.732
angles: 95.64 95.64 60.05
Sites, in units of the cell vectors:
Ni: 0.000 0.000 0.000
H: 0.268 0.342 0.579
H: 0.658 0.732 0.421
O: 0.310 0.311 0.783
O: 0.689 0.690 0.217

The 10 most intense peaks (2θ from 5° to 70°), by angle:
18.87°, d 4.702, rel. 100
32.74°, d 2.736, rel. 28
36.22°, d 2.480, rel. 28
39.03°, d 2.308, rel. 56
48.20°, d 1.888, rel. 14
49.67°, d 1.835, rel. 13
52.77°, d 1.735, rel. 18
58.67°, d 1.574, rel. 15
60.14°, d 1.539, rel. 11
67.12°, d 1.395, rel. 9